Calculated PXRD pattern of Y3MgCd2AgAu2 for Cu Kα (weighted mean of Kα1 and Kα2), from DFT lattice parameters and positions (GGA-PBE).

Cell and atoms:
```
9
Lattice="3.9318 0.0000 0.0000 0.0000 6.7910 3.8810 0.0000 -6.7910 3.8810" Properties=species:S:1:pos:R:3 pbc="T T T"
Y 0.0000 0.0000 0.0000
Y 0.0000 -2.8278 4.6853
Y 0.0000 2.8278 4.6853
Mg 1.9659 0.0000 5.0951
Cd 1.9659 -1.7609 2.1341
Cd 1.9659 1.7609 2.1341
Ag 0.0000 0.0000 3.1903
Au 1.9659 -4.5912 3.0682
Au 1.9659 4.5912 3.0682
```

Main lines, by angle (2θ from 10° to 90°):
- 22.7 deg, intensity 33.4
- 26.2 deg, intensity 36.7
- 32.3 deg, intensity 64.6
- 32.4 deg, intensity 68.4
- 34.9 deg, intensity 98.5
- 35.1 deg, intensity 100.0
- 40.1 deg, intensity 62.5
- 42.3 deg, intensity 32.4
- 46.2 deg, intensity 38.3
- 62.8 deg, intensity 41.1